Diffraction record for Pr2Sm3Si4. The powder diffraction line list is computed, not measured: it uses a crystal structure in Alexandria, relaxed with GGA-PBE and Cu Kα X-rays.
Peak positions follow from Bragg's law for the DFT cell and can differ from measured ones.

Atomic structure:
Cell lengths 7.852, 7.909, 7.712 Å; angles 90.00, 105.75, 90.00 degrees
Positions (direct):
1 Pr 0.203 0.182 0.093
2 Pr 0.203 0.318 0.593
3 Pr 0.797 0.682 0.407
4 Pr 0.797 0.818 0.907
5 Sm 0.242 0.682 0.255
6 Sm 0.242 0.818 0.755
7 Sm 0.500 0.000 0.500
8 Sm 0.500 0.500 0.000
9 Sm 0.758 0.182 0.245
10 Sm 0.758 0.318 0.745
11 Si 0.081 0.527 0.887
12 Si 0.081 0.973 0.387
13 Si 0.494 0.116 0.881
14 Si 0.494 0.384 0.381
15 Si 0.506 0.616 0.619
16 Si 0.506 0.884 0.119
17 Si 0.919 0.027 0.613
18 Si 0.919 0.473 0.113

Main lines, sorted by position (2θ from 10° to 90°):
- 2θ 25.5, I 40
- 2θ 31.7, I 64
- 2θ 32.6, I 57
- 2θ 32.8, I 100
- 2θ 36.2, I 38
- 2θ 36.8, I 40

***

Diffraction record for Eu3AgIr. The powder diffraction line list is computed, not measured: it uses a crystal structure in Alexandria, relaxed with GGA-PBE and Cu Kα X-rays.
Peak positions follow from Bragg's law for the DFT cell and can differ from measured ones.

Atomic structure:
Cell lengths 5.573, 5.573, 5.573 Å; angles 90.00, 90.00, 90.00 degrees
Positions (direct):
1 Eu 0.000 0.000 0.500
2 Eu 0.000 0.500 0.000
3 Eu 0.500 0.000 0.000
4 Ag 0.500 0.500 0.500
5 Ir 0.000 0.000 0.000

Main lines, sorted by position (2θ from 10° to 90°):
- 2θ 15.9, I 48
- 2θ 27.7, I 50
- 2θ 32.1, I 100
- 2θ 36.0, I 27
- 2θ 46.1, I 73
- 2θ 76.4, I 33

***

Diffraction record for AcOsN2. The powder diffraction line list is computed, not measured: it uses a crystal structure in Alexandria, relaxed with GGA-PBE and Cu Kα X-rays.
Peak positions follow from Bragg's law for the DFT cell and can differ from measured ones.

Atomic structure:
Cell lengths 6.392, 6.392, 6.392 Å; angles 31.89, 31.89, 31.89 degrees
Positions (direct):
1 Ac 0.000 0.000 0.000
2 Os 0.500 0.500 0.500
3 N 0.133 0.133 0.133
4 N 0.867 0.867 0.867

Main lines, sorted by position (2θ from 10° to 90°):
- 2θ 29.5, I 40
- 2θ 31.0, I 100
- 2θ 35.5, I 62
- 2θ 50.1, I 30
- 2θ 52.1, I 27
- 2θ 61.0, I 32

***

Diffraction record for InSnSb. The powder diffraction line list is computed, not measured: it uses a crystal structure in Alexandria, relaxed with GGA-PBE and Cu Kα X-rays.
Peak positions follow from Bragg's law for the DFT cell and can differ from measured ones.

Atomic structure:
Cell lengths 4.518, 4.518, 8.702 Å; angles 100.75, 100.75, 82.50 degrees
Positions (direct):
1 In 0.000 0.000 0.000
2 In 0.075 0.075 0.590
3 Sn 0.341 0.341 0.336
4 Sn 0.425 0.425 0.922
5 Sb 0.654 0.654 0.670
6 Sb 0.755 0.755 0.256

Main lines, sorted by position (2θ from 10° to 90°):
- 2θ 30.0, I 100
- 2θ 31.5, I 23
- 2θ 31.7, I 40
- 2θ 31.8, I 23
- 2θ 43.0, I 37
- 2θ 44.3, I 19